Entry 1:
This entry pairs a crystal structure of Sc12Ni6Sb with its calculated X-ray diffraction stick pattern. Radiation: Cu Kα. Structure: the GGA-PBE geometry in Alexandria.
Lines closer than 0.1° are merged.

The 12 most intense peaks (10 to 80 degrees two-theta), by angle:
19.6 deg, I = 29
24.1 deg, I = 9
34.3 deg, I = 21
37.2 deg, I = 100
39.8 deg, I = 15
42.4 deg, I = 15
51.5 deg, I = 33
59.5 deg, I = 8
61.4 deg, I = 11
63.3 deg, I = 18
67.0 deg, I = 8
74.0 deg, I = 13

Cell and atoms:
Unit cell a=7.8411 b=7.8411 c=7.8411 alpha=109.47 beta=109.47 gamma=109.47
Positions (direct):
Sc 0.1102 0.2996 0.8107
Sc 0.1893 0.4889 0.2996
Sc 0.1893 0.8898 0.7004
Sc 0.2996 0.1893 0.4889
Sc 0.2996 0.8107 0.1102
Sc 0.4889 0.2996 0.1893
Sc 0.5111 0.7004 0.8107
Sc 0.7004 0.1893 0.8898
Sc 0.7004 0.8107 0.5111
Sc 0.8107 0.1102 0.2996
Sc 0.8107 0.5111 0.7004
Sc 0.8898 0.7004 0.1893
Ni 0.1316 0.5000 0.6316
Ni 0.3684 0.8684 0.5000
Ni 0.5000 0.3684 0.8684
Ni 0.5000 0.6316 0.1316
Ni 0.6316 0.1316 0.5000
Ni 0.8684 0.5000 0.3684
Sb 0.0000 0.0000 0.0000

Entry 2:
This entry pairs a crystal structure of Tm2AuI8 with its calculated X-ray diffraction stick pattern. Radiation: Cu Kα. Structure: the GGA-PBE geometry in Alexandria.
Lines closer than 0.1° are merged.

The 12 most intense peaks (10 to 80 degrees two-theta), by angle:
12.1 deg, I = 100
14.5 deg, I = 50
17.9 deg, I = 45
20.2 deg, I = 17
23.0 deg, I = 26
28.2 deg, I = 45
29.5 deg, I = 28
30.4 deg, I = 33
30.9 deg, I = 20
32.3 deg, I = 18
35.4 deg, I = 27
40.1 deg, I = 28

Cell and atoms:
Unit cell a=9.1403 b=9.1403 c=10.5240 alpha=104.95 beta=104.95 gamma=50.10
Positions (direct):
Tm 0.2178 0.2178 0.3113
Tm 0.7822 0.7822 0.6887
Au 0.0000 0.0000 0.0000
I 0.1521 0.6391 0.8554
I 0.2084 0.2084 0.5780
I 0.3609 0.8479 0.1446
I 0.3766 0.3766 0.2706
I 0.6234 0.6234 0.7294
I 0.6391 0.1521 0.8554
I 0.7916 0.7916 0.4220
I 0.8479 0.3609 0.1446

Entry 3:
This entry pairs a crystal structure of Nd5Te4H with its calculated X-ray diffraction stick pattern. Radiation: Cu Kα. Structure: the GGA-PBE geometry in Alexandria.
Lines closer than 0.1° are merged.

The 12 most intense peaks (10 to 80 degrees two-theta), by angle:
28.7 deg, I = 30
28.9 deg, I = 100
33.1 deg, I = 52
37.2 deg, I = 10
41.2 deg, I = 76
51.1 deg, I = 22
53.9 deg, I = 26
59.8 deg, I = 13
60.5 deg, I = 21
67.8 deg, I = 17
75.2 deg, I = 13
75.9 deg, I = 22

Cell and atoms:
Unit cell a=15.8329 b=15.8329 c=15.8329 alpha=164.12 beta=164.12 gamma=22.53
Positions (direct):
Nd 0.0000 0.0000 0.0000
Nd 0.2081 0.2081 0.0000
Nd 0.4235 0.4235 0.0000
Nd 0.5765 0.5765 0.0000
Nd 0.7919 0.7919 0.0000
Te 0.1014 0.1014 0.0000
Te 0.3116 0.3116 0.0000
Te 0.6884 0.6884 0.0000
Te 0.8986 0.8986 0.0000
H 0.5000 0.5000 0.0000